Record 1
Computed powder diffractogram of Al3Bi5Cl12 for Cu Ka, from a DFT-relaxed cell (GGA-PBE, the Materials Project).
Kinematic intensities with the Lorentz-polarization factor, no thermal factor.

Crystal structure
```
data_Al3Bi5Cl12
_chemical_formula_sum 'Al18 Bi30 Cl72'
_symmetry_space_group_name_H-M 'R -3 c'
_symmetry_Int_Tables_number 167
_symmetry_space_group_name_Hall '-R 3 2"c'
_cell_length_a 12.0418
_cell_length_b 12.0418
_cell_length_c 30.7982
_cell_angle_alpha 90.00
_cell_angle_beta 90.00
_cell_angle_gamma 120.00
loop_
_atom_site_label
_atom_site_fract_x
_atom_site_fract_y
_atom_site_fract_z
_atom_site_occupancy
Al1 0.0000 0.4786 0.2500 1
Bi1 0.0000 0.0000 0.1722 1
Bi2 0.0000 0.1582 0.7500 1
Cl1 0.0076 0.4214 0.6932 1
Cl2 0.0456 0.2126 0.9087 1
```

Largest 10 diffraction maxima, sorted by position, 10° ≤ 2θ ≤ 90°:
2θ 10.24, I = 100; 2θ 14.71, I = 28; 2θ 17.96, I = 19; 2θ 22.75, I = 19; 2θ 26.85, I = 11; 2θ 30.45, I = 16; 2θ 31.07, I = 50; 2θ 34.54, I = 22; 2θ 34.95, I = 11; 2θ 44.60, I = 13

***

Record 2
Computed powder diffractogram of BaHfMg6 for Cu Ka, from a DFT-relaxed cell (GGA-PBE, the Materials Project).
Kinematic intensities with the Lorentz-polarization factor, no thermal factor.

Crystal structure
```
data_BaHfMg6
_chemical_formula_sum 'Ba2 Hf2 Mg12'
_symmetry_space_group_name_H-M 'A m m 2'
_symmetry_Int_Tables_number 38
_symmetry_space_group_name_Hall 'A 2 -2'
_cell_length_a 5.3684
_cell_length_b 6.7302
_cell_length_c 11.6703
_cell_angle_alpha 90.00
_cell_angle_beta 90.00
_cell_angle_gamma 90.00
loop_
_atom_site_label
_atom_site_fract_x
_atom_site_fract_y
_atom_site_fract_z
_atom_site_occupancy
Ba1 0.0000 0.0000 0.0000 1
Hf1 0.5000 0.0000 0.8208 1
Mg1 0.0000 0.0000 0.5004 1
Mg2 0.0000 0.2347 0.7520 1
Mg3 0.5000 0.0000 0.3308 1
Mg4 0.5000 0.2375 0.5880 1
```

Largest 10 diffraction maxima, sorted by position, 10° ≤ 2θ ≤ 90°:
2θ 15.20, I = 85; 2θ 22.51, I = 61; 2θ 30.66, I = 25; 2θ 31.35, I = 36; 2θ 33.38, I = 26; 2θ 35.02, I = 100; 2θ 36.86, I = 20; 2θ 40.94, I = 19; 2θ 60.73, I = 20; 2θ 65.44, I = 20

***

Record 3
Computed powder diffractogram of Na4Sn2C4SO16 for Cu Ka, from a DFT-relaxed cell (GGA-PBE, the Materials Project).
Kinematic intensities with the Lorentz-polarization factor, no thermal factor.

Crystal structure
```
data_Na4Sn2C4SO16
_chemical_formula_sum 'Na32 Sn16 C32 S8 O128'
_symmetry_space_group_name_H-M 'F d d d'
_symmetry_Int_Tables_number 70
_cell_length_a 13.9318
_cell_length_b 14.2075
_cell_length_c 14.9596
_cell_angle_alpha 90.00
_cell_angle_beta 90.00
_cell_angle_gamma 90.00
loop_
_symmetry_equiv_pos_as_xyz
'x,y,z'
'-x,-y,-z'
'-x+1/4,-y+1/4,z'
'x+1/4,y+1/4,-z'
'x,-y+1/4,-z+1/4'
'-x,y+1/4,z+1/4'
'-x+1/4,y,-z+1/4'
'x+1/4,-y,z+1/4'
'x,y+1/2,z+1/2'
'-x,-y+1/2,-z+1/2'
'-x+1/4,-y+3/4,z+1/2'
'x+1/4,y+3/4,-z+1/2'
'x,-y+3/4,-z+3/4'
'-x,y+3/4,z+3/4'
'-x+1/4,y+1/2,-z+3/4'
'x+1/4,-y+1/2,z+3/4'
'x+1/2,y,z+1/2'
'-x+1/2,-y,-z+1/2'
'-x+3/4,-y+1/4,z+1/2'
'x+3/4,y+1/4,-z+1/2'
'x+1/2,-y+1/4,-z+3/4'
'-x+1/2,y+1/4,z+3/4'
'-x+3/4,y,-z+3/4'
'x+3/4,-y,z+3/4'
'x+1/2,y+1/2,z'
'-x+1/2,-y+1/2,-z'
'-x+3/4,-y+3/4,z'
'x+3/4,y+3/4,-z'
'x+1/2,-y+3/4,-z+1/4'
'-x+1/2,y+3/4,z+1/4'
'-x+3/4,y+1/2,-z+1/4'
'x+3/4,-y+1/2,z+1/4'
loop_
_atom_site_label
_atom_site_fract_x
_atom_site_fract_y
_atom_site_fract_z
_atom_site_occupancy
Na1 0.0783 0.3750 0.3750 1
Na2 0.1250 0.3270 0.1250 1
Sn1 0.0000 0.0000 0.5000 1
C1 0.0221 0.0268 0.7136 1
S1 0.1250 0.1250 0.1250 1
O1 0.0116 0.0919 0.7738 1
O2 0.0357 0.2731 0.8957 1
O3 0.0624 0.0633 0.0686 1
O4 0.0912 0.2851 0.5280 1
```

Largest 10 diffraction maxima, sorted by position, 10° ≤ 2θ ≤ 90°:
2θ 10.68, I = 100; 2θ 19.92, I = 82; 2θ 20.68, I = 53; 2θ 20.98, I = 58; 2θ 21.46, I = 54; 2θ 31.22, I = 39; 2θ 32.72, I = 39; 2θ 33.31, I = 36; 2θ 35.21, I = 40; 2θ 36.11, I = 50

***

Record 4
Computed powder diffractogram of NaAs3H2O9 for Cu Ka, from a DFT-relaxed cell (GGA-PBE, the Materials Project).
Kinematic intensities with the Lorentz-polarization factor, no thermal factor.

Crystal structure
```
data_NaAs3H2O9
_chemical_formula_sum 'Na2 As6 H4 O18'
_symmetry_space_group_name_H-M 'P -1'
_symmetry_Int_Tables_number 2
_symmetry_space_group_name_Hall '-P 1'
_cell_length_a 7.3386
_cell_length_b 7.7169
_cell_length_c 8.0387
_cell_angle_alpha 110.53
_cell_angle_beta 107.50
_cell_angle_gamma 106.20
loop_
_atom_site_label
_atom_site_fract_x
_atom_site_fract_y
_atom_site_fract_z
_atom_site_occupancy
Na1 0.1859 0.1783 0.4594 1
As1 0.1360 0.6555 0.3327 1
As2 0.3100 0.1637 0.0445 1
As3 0.3472 0.5668 0.0232 1
H1 0.1299 0.8073 0.8745 1
H2 0.3784 0.6415 0.5778 1
O1 0.1017 0.9235 0.8650 1
O2 0.1041 0.5601 0.8521 1
O3 0.1081 0.8605 0.4546 1
O4 0.1816 0.3158 0.9995 1
O5 0.2268 0.5373 0.4679 1
O6 0.3192 0.7229 0.2400 1
O7 0.3928 0.1954 0.2753 1
O8 0.4078 0.4306 0.8180 1
O9 0.4934 0.8192 0.0400 1
```

Largest 10 diffraction maxima, sorted by position, 10° ≤ 2θ ≤ 90°:
2θ 13.12, I = 100; 2θ 13.57, I = 47; 2θ 13.69, I = 23; 2θ 19.64, I = 31; 2θ 19.93, I = 26; 2θ 23.17, I = 94; 2θ 24.01, I = 44; 2θ 24.73, I = 71; 2θ 26.42, I = 25; 2θ 28.92, I = 66

***

Record 5
Computed powder diffractogram of KHgC2 for Cu Ka, from a DFT-relaxed cell (GGA-PBE, the Materials Project).
Kinematic intensities with the Lorentz-polarization factor, no thermal factor.

Crystal structure
```
data_KHgC2
_chemical_formula_sum 'K16 Hg16 C32'
_symmetry_space_group_name_H-M 'F d d d'
_symmetry_Int_Tables_number 70
_cell_length_a 5.1490
_cell_length_b 8.9873
_cell_length_c 36.3450
_cell_angle_alpha 90.00
_cell_angle_beta 90.00
_cell_angle_gamma 90.00
loop_
_symmetry_equiv_pos_as_xyz
'x,y,z'
'-x,-y,-z'
'-x+1/4,-y+1/4,z'
'x+1/4,y+1/4,-z'
'x,-y+1/4,-z+1/4'
'-x,y+1/4,z+1/4'
'-x+1/4,y,-z+1/4'
'x+1/4,-y,z+1/4'
'x,y+1/2,z+1/2'
'-x,-y+1/2,-z+1/2'
'-x+1/4,-y+3/4,z+1/2'
'x+1/4,y+3/4,-z+1/2'
'x,-y+3/4,-z+3/4'
'-x,y+3/4,z+3/4'
'-x+1/4,y+1/2,-z+3/4'
'x+1/4,-y+1/2,z+3/4'
'x+1/2,y,z+1/2'
'-x+1/2,-y,-z+1/2'
'-x+3/4,-y+1/4,z+1/2'
'x+3/4,y+1/4,-z+1/2'
'x+1/2,-y+1/4,-z+3/4'
'-x+1/2,y+1/4,z+3/4'
'-x+3/4,y,-z+3/4'
'x+3/4,-y,z+3/4'
'x+1/2,y+1/2,z'
'-x+1/2,-y+1/2,-z'
'-x+3/4,-y+3/4,z'
'x+3/4,y+3/4,-z'
'x+1/2,-y+3/4,-z+1/4'
'-x+1/2,y+3/4,z+1/4'
'-x+3/4,y+1/2,-z+1/4'
'x+3/4,-y+1/2,z+1/4'
loop_
_atom_site_label
_atom_site_fract_x
_atom_site_fract_y
_atom_site_fract_z
_atom_site_occupancy
K1 0.1250 0.1250 0.0608 1
Hg1 0.1250 0.2898 0.6250 1
C1 0.0628 0.0625 0.5000 1
```

Largest 10 diffraction maxima, sorted by position, 10° ≤ 2θ ≤ 90°:
2θ 19.54, I = 100; 2θ 23.37, I = 42; 2θ 24.67, I = 57; 2θ 26.32, I = 75; 2θ 29.82, I = 52; 2θ 34.73, I = 83; 2θ 35.21, I = 74; 2θ 35.45, I = 64; 2θ 36.85, I = 42; 2θ 37.97, I = 39

***

Record 6
Computed powder diffractogram of SrAlBO4 for Cu Ka, from a DFT-relaxed cell (GGA-PBE, the Materials Project).
Kinematic intensities with the Lorentz-polarization factor, no thermal factor.

Crystal structure
```
data_SrAlBO4
_chemical_formula_sum 'Sr8 Al8 B8 O32'
_symmetry_space_group_name_H-M 'P c c n'
_symmetry_Int_Tables_number 56
_symmetry_space_group_name_Hall '-P 2ab 2ac'
_cell_length_a 8.9249
_cell_length_b 14.6514
_cell_length_c 5.8070
_cell_angle_alpha 90.00
_cell_angle_beta 90.00
_cell_angle_gamma 90.00
loop_
_atom_site_label
_atom_site_fract_x
_atom_site_fract_y
_atom_site_fract_z
_atom_site_occupancy
Sr1 0.0797 0.1524 0.1878 1
Al1 0.2076 0.5722 0.6297 1
B1 0.0982 0.0887 0.6821 1
O1 0.0196 0.5453 0.7126 1
O2 0.1112 0.1823 0.6738 1
O3 0.1952 0.6252 0.3568 1
O4 0.2132 0.0394 0.5760 1
```

Largest 10 diffraction maxima, sorted by position, 10° ≤ 2θ ≤ 90°:
2θ 11.61, I = 78; 2θ 21.92, I = 81; 2θ 24.30, I = 64; 2θ 25.88, I = 45; 2θ 30.54, I = 75; 2θ 30.67, I = 100; 2θ 30.80, I = 40; 2θ 31.41, I = 44; 2θ 32.43, I = 40; 2θ 43.90, I = 46

***

Record 7
Computed powder diffractogram of Cu2SiS3 for Cu Ka, from a DFT-relaxed cell (GGA-PBE, the Materials Project).
Kinematic intensities with the Lorentz-polarization factor, no thermal factor.

Crystal structure
```
data_Cu2SiS3
_chemical_formula_sum 'Cu8 Si4 S12'
_symmetry_space_group_name_H-M 'C m c 21'
_symmetry_Int_Tables_number 36
_symmetry_space_group_name_Hall 'C 2c -2'
_cell_length_a 11.0002
_cell_length_b 6.4034
_cell_length_c 6.0890
_cell_angle_alpha 90.00
_cell_angle_beta 90.00
_cell_angle_gamma 90.00
loop_
_atom_site_label
_atom_site_fract_x
_atom_site_fract_y
_atom_site_fract_z
_atom_site_occupancy
Cu1 0.1610 0.1626 0.0000 1
Si1 0.0000 0.3315 0.5302 1
S1 0.0000 0.3442 0.1580 1
S2 0.1619 0.1778 0.6251 1
```

Largest 10 diffraction maxima, sorted by position, 10° ≤ 2θ ≤ 90°:
2θ 27.87, I = 49; 2θ 28.04, I = 100; 2θ 29.34, I = 85; 2θ 31.57, I = 49; 2θ 31.73, I = 86; 2θ 49.41, I = 73; 2θ 49.73, I = 35; 2θ 53.45, I = 37; 2θ 53.55, I = 72; 2θ 58.50, I = 42

***

Repeat the fifth record exactly.
Computed powder diffractogram of KHgC2 for Cu Ka, from a DFT-relaxed cell (GGA-PBE, the Materials Project).
Kinematic intensities with the Lorentz-polarization factor, no thermal factor.

Crystal structure
```
data_KHgC2
_chemical_formula_sum 'K16 Hg16 C32'
_symmetry_space_group_name_H-M 'F d d d'
_symmetry_Int_Tables_number 70
_cell_length_a 5.1490
_cell_length_b 8.9873
_cell_length_c 36.3450
_cell_angle_alpha 90.00
_cell_angle_beta 90.00
_cell_angle_gamma 90.00
loop_
_symmetry_equiv_pos_as_xyz
'x,y,z'
'-x,-y,-z'
'-x+1/4,-y+1/4,z'
'x+1/4,y+1/4,-z'
'x,-y+1/4,-z+1/4'
'-x,y+1/4,z+1/4'
'-x+1/4,y,-z+1/4'
'x+1/4,-y,z+1/4'
'x,y+1/2,z+1/2'
'-x,-y+1/2,-z+1/2'
'-x+1/4,-y+3/4,z+1/2'
'x+1/4,y+3/4,-z+1/2'
'x,-y+3/4,-z+3/4'
'-x,y+3/4,z+3/4'
'-x+1/4,y+1/2,-z+3/4'
'x+1/4,-y+1/2,z+3/4'
'x+1/2,y,z+1/2'
'-x+1/2,-y,-z+1/2'
'-x+3/4,-y+1/4,z+1/2'
'x+3/4,y+1/4,-z+1/2'
'x+1/2,-y+1/4,-z+3/4'
'-x+1/2,y+1/4,z+3/4'
'-x+3/4,y,-z+3/4'
'x+3/4,-y,z+3/4'
'x+1/2,y+1/2,z'
'-x+1/2,-y+1/2,-z'
'-x+3/4,-y+3/4,z'
'x+3/4,y+3/4,-z'
'x+1/2,-y+3/4,-z+1/4'
'-x+1/2,y+3/4,z+1/4'
'-x+3/4,y+1/2,-z+1/4'
'x+3/4,-y+1/2,z+1/4'
loop_
_atom_site_label
_atom_site_fract_x
_atom_site_fract_y
_atom_site_fract_z
_atom_site_occupancy
K1 0.1250 0.1250 0.0608 1
Hg1 0.1250 0.2898 0.6250 1
C1 0.0628 0.0625 0.5000 1
```

Largest 10 diffraction maxima, sorted by position, 10° ≤ 2θ ≤ 90°:
2θ 19.54, I = 100; 2θ 23.37, I = 42; 2θ 24.67, I = 57; 2θ 26.32, I = 75; 2θ 29.82, I = 52; 2θ 34.73, I = 83; 2θ 35.21, I = 74; 2θ 35.45, I = 64; 2θ 36.85, I = 42; 2θ 37.97, I = 39

***

Copy entry 7 word for word.
Computed powder diffractogram of Cu2SiS3 for Cu Ka, from a DFT-relaxed cell (GGA-PBE, the Materials Project).
Kinematic intensities with the Lorentz-polarization factor, no thermal factor.

Crystal structure
```
data_Cu2SiS3
_chemical_formula_sum 'Cu8 Si4 S12'
_symmetry_space_group_name_H-M 'C m c 21'
_symmetry_Int_Tables_number 36
_symmetry_space_group_name_Hall 'C 2c -2'
_cell_length_a 11.0002
_cell_length_b 6.4034
_cell_length_c 6.0890
_cell_angle_alpha 90.00
_cell_angle_beta 90.00
_cell_angle_gamma 90.00
loop_
_atom_site_label
_atom_site_fract_x
_atom_site_fract_y
_atom_site_fract_z
_atom_site_occupancy
Cu1 0.1610 0.1626 0.0000 1
Si1 0.0000 0.3315 0.5302 1
S1 0.0000 0.3442 0.1580 1
S2 0.1619 0.1778 0.6251 1
```

Largest 10 diffraction maxima, sorted by position, 10° ≤ 2θ ≤ 90°:
2θ 27.87, I = 49; 2θ 28.04, I = 100; 2θ 29.34, I = 85; 2θ 31.57, I = 49; 2θ 31.73, I = 86; 2θ 49.41, I = 73; 2θ 49.73, I = 35; 2θ 53.45, I = 37; 2θ 53.55, I = 72; 2θ 58.50, I = 42